Tb2Al3Si4: calculated XRD peak list (Cu Kα (λ = 1.5418 Å)), based on the GGA-PBE geometry in Alexandria.

Cell and atoms:
```
data_Tb2Al3Si4
_cell_length_a 5.793
_cell_length_b 14.676
_cell_length_c 7.767
_cell_angle_alpha 90.00
_cell_angle_beta 90.00
_cell_angle_gamma 90.00
_space_group_name_H-M_alt 'C m c e'
_space_group_IT_number 64
_space_group_name_Hall '-C 2ac 2'
loop_
_atom_site_label
_atom_site_fract_x
_atom_site_fract_y
_atom_site_fract_z
Tb1 0.000 0.113 0.082
Al1 0.000 0.000 0.500
Al2 0.250 0.217 0.750
Si1 0.000 0.186 0.451
Si2 0.250 0.047 0.750
```

Most intense lines, 10° ≤ 2θ ≤ 90°, most intense first:
(1 1 1), 2θ = 20.06°, d = 4.427 Å, I 100; (1 5 1), 2θ = 36.20°, d = 2.481 Å, I 99; (0 2 3), 2θ = 36.81°, d = 2.442 Å, I 73; (1 3 2), 2θ = 33.27°, d = 2.693 Å, I 68; (2 2 1), 2θ = 35.26°, d = 2.545 Å, I 49; (2 0 2), 2θ = 38.78°, d = 2.322 Å, I 46; (2 4 0), 2θ = 39.64°, d = 2.273 Å, I 41; (0 2 1), 2θ = 16.62°, d = 5.334 Å, I 38; (1 1 2), 2θ = 28.33°, d = 3.151 Å, I 38; (2 2 3), 2θ = 48.78°, d = 1.867 Å, I 34; (1 3 1), 2θ = 26.46°, d = 3.368 Å, I 31; (0 4 0), 2θ = 24.26°, d = 3.669 Å, I 31